PmGa2SiIr: simulated X-ray diffraction stick pattern (a wavelength of 1.5418 Å), based on a crystal structure in Alexandria, relaxed with GGA-PBE.
Neutral-atom scattering factors, no anomalous dispersion.

Top 10 peaks for 2θ = 15–90°, by angle:
Position (°2θ), I (rel.)
23.5, 21
32.7, 16
33.0, 27
35.3, 100
44.4, 19
44.9, 18
47.2, 18
56.8, 11
60.1, 14
65.0, 12

Structural model:
Cell lengths 4.0418, 4.0773, 10.9408 Å; angles 90.00, 90.00, 90.00 degrees
Element x y z (fractional)
Pm (0.0000, 0.0000, 0.0000)
Pm (0.5000, 0.5000, 0.5000)
Ga (0.0000, 0.0000, 0.6132)
Ga (0.0000, 0.5000, 0.2518)
Ga (0.5000, 0.0000, 0.7518)
Ga (0.5000, 0.5000, 0.1132)
Si (0.0000, 0.0000, 0.3880)
Si (0.5000, 0.5000, 0.8880)
Ir (0.0000, 0.5000, 0.7635)
Ir (0.5000, 0.0000, 0.2635)

NaMnAgI4: simulated X-ray diffraction stick pattern (a wavelength of 1.5418 Å), based on a crystal structure in Alexandria, relaxed with GGA-PBE.
Neutral-atom scattering factors, no anomalous dispersion.

Top 10 peaks for 2θ = 15–90°, by angle:
Position (°2θ), I (rel.)
23.1, 100
25.5, 12
29.5, 9
36.4, 24
39.0, 39
43.5, 32
48.0, 12
52.4, 7
61.7, 10
67.2, 12

Structural model:
Cell lengths 6.9832, 6.9832, 12.3122 Å; angles 90.00, 90.00, 90.00 degrees
Element x y z (fractional)
Na (0.0000, 0.0000, 0.0000)
Na (0.5000, 0.5000, 0.5000)
Mn (0.0000, 0.5000, 0.7500)
Mn (0.5000, 0.0000, 0.2500)
Ag (0.0000, 0.0000, 0.5000)
Ag (0.5000, 0.5000, 0.0000)
I (0.2194, 0.2516, 0.6358)
I (0.2484, 0.7194, 0.8642)
I (0.2516, 0.7806, 0.3642)
I (0.2806, 0.2484, 0.1358)
I (0.7194, 0.7516, 0.1358)
I (0.7484, 0.2194, 0.3642)
I (0.7516, 0.2806, 0.8642)
I (0.7806, 0.7484, 0.6358)

ZnCu3F7: simulated X-ray diffraction stick pattern (a wavelength of 1.5418 Å), based on a crystal structure in Alexandria, relaxed with GGA-PBE.
Neutral-atom scattering factors, no anomalous dispersion.

Top 10 peaks for 2θ = 15–90°, by angle:
Position (°2θ), I (rel.)
26.6, 100
27.2, 39
33.7, 22
34.2, 11
40.2, 12
41.4, 19
45.0, 13
52.4, 31
59.0, 22
64.0, 14

Structural model:
Cell lengths 5.5929, 5.5929, 5.5929 Å; angles 102.66, 102.66, 102.66 degrees
Element x y z (fractional)
Zn (0.0000, 0.0000, 0.0000)
Cu (0.4487, 0.4487, 0.8259)
Cu (0.4487, 0.8259, 0.4487)
Cu (0.8259, 0.4487, 0.4487)
F (0.1608, 0.1608, 0.7900)
F (0.1608, 0.7900, 0.1608)
F (0.2017, 0.5726, 0.5726)
F (0.5726, 0.2017, 0.5726)
F (0.5726, 0.5726, 0.2017)
F (0.7152, 0.7152, 0.7152)
F (0.7900, 0.1608, 0.1608)

Nd3Co8Sn4: simulated X-ray diffraction stick pattern (a wavelength of 1.5418 Å), based on a crystal structure in Alexandria, relaxed with GGA-PBE.
Neutral-atom scattering factors, no anomalous dispersion.

Top 10 peaks for 2θ = 15–90°, by angle:
Position (°2θ), I (rel.)
25.6, 20
32.5, 37
32.9, 100
36.4, 40
37.4, 35
38.6, 24
39.9, 92
42.6, 19
60.4, 20
63.6, 35

Structural model:
Cell lengths 9.0331, 9.0331, 7.5739 Å; angles 90.00, 90.00, 120.00 degrees
Element x y z (fractional)
Nd (0.0572, 0.5286, 0.0000)
Nd (0.4714, 0.5286, 0.0000)
Nd (0.4714, 0.9428, 0.0000)
Nd (0.5286, 0.0572, 0.5000)
Nd (0.5286, 0.4714, 0.5000)
Nd (0.9428, 0.4714, 0.5000)
Co (0.0000, 0.0000, 0.2238)
Co (0.0000, 0.0000, 0.7238)
Co (0.0949, 0.1897, 0.9771)
Co (0.0949, 0.9051, 0.9771)
Co (0.1559, 0.3119, 0.6704)
Co (0.1559, 0.8441, 0.6704)
Co (0.1897, 0.0949, 0.4771)
Co (0.3119, 0.1559, 0.1704)
Co (0.3333, 0.6667, 0.2963)
Co (0.6667, 0.3333, 0.7963)
Co (0.6881, 0.8441, 0.6704)
Co (0.8103, 0.9051, 0.9771)
Co (0.8441, 0.1559, 0.1704)
Co (0.8441, 0.6881, 0.1704)
Co (0.9051, 0.0949, 0.4771)
Co (0.9051, 0.8103, 0.4771)
Sn (0.1701, 0.3401, 0.2964)
Sn (0.1701, 0.8299, 0.2964)
Sn (0.3333, 0.6667, 0.6644)
Sn (0.3401, 0.1701, 0.7964)
Sn (0.6599, 0.8299, 0.2964)
Sn (0.6667, 0.3333, 0.1644)
Sn (0.8299, 0.1701, 0.7964)
Sn (0.8299, 0.6599, 0.7964)

TiTlSb: simulated X-ray diffraction stick pattern (a wavelength of 1.5418 Å), based on a crystal structure in Alexandria, relaxed with GGA-PBE.
Neutral-atom scattering factors, no anomalous dispersion.

Top 10 peaks for 2θ = 15–90°, by angle:
Position (°2θ), I (rel.)
28.5, 54
28.9, 100
30.3, 19
35.4, 34
40.7, 38
46.8, 21
50.7, 43
59.0, 13
63.7, 17
81.4, 11

Structural model:
Cell lengths 4.4299, 4.4299, 8.6448 Å; angles 90.00, 90.00, 90.00 degrees
Element x y z (fractional)
Ti (0.2500, 0.7500, 0.0000)
Ti (0.7500, 0.2500, 0.0000)
Tl (0.2500, 0.2500, 0.3496)
Tl (0.7500, 0.7500, 0.6504)
Sb (0.2500, 0.2500, 0.8052)
Sb (0.7500, 0.7500, 0.1948)

Rh5Cl3: simulated X-ray diffraction stick pattern (a wavelength of 1.5418 Å), based on a crystal structure in Alexandria, relaxed with GGA-PBE.
Neutral-atom scattering factors, no anomalous dispersion.

Top 10 peaks for 2θ = 15–90°, by angle:
Position (°2θ), I (rel.)
30.5, 100
35.4, 32
35.9, 59
38.4, 28
39.4, 83
41.4, 74
43.8, 53
47.4, 30
48.9, 53
51.3, 36

Structural model:
Cell lengths 5.8651, 7.6689, 7.8553 Å; angles 119.16, 111.78, 90.14 degrees
Element x y z (fractional)
Rh (0.0012, 0.2490, 0.0005)
Rh (0.1544, 0.1553, 0.3109)
Rh (0.2967, 0.0002, 0.0007)
Rh (0.3102, 0.8112, 0.6229)
Rh (0.4993, 0.6793, 0.0005)
Rh (0.5007, 0.3207, 0.9995)
Rh (0.6898, 0.1888, 0.3771)
Rh (0.7033, 0.9998, 0.9993)
Rh (0.8456, 0.8447, 0.6891)
Rh (0.9988, 0.7510, 0.9995)
Cl (0.1222, 0.6219, 0.2435)
Cl (0.3143, 0.5154, 0.6289)
Cl (0.3150, 0.1138, 0.6296)
Cl (0.6850, 0.8862, 0.3704)
Cl (0.6857, 0.4846, 0.3711)
Cl (0.8778, 0.3781, 0.7565)

RbAgPd2S: simulated X-ray diffraction stick pattern (a wavelength of 1.5418 Å), based on a crystal structure in Alexandria, relaxed with GGA-PBE.
Neutral-atom scattering factors, no anomalous dispersion.

Top 10 peaks for 2θ = 15–90°, by angle:
Position (°2θ), I (rel.)
29.8, 39
31.3, 100
39.1, 37
50.0, 36
53.9, 21
56.6, 12
65.3, 16
66.1, 22
75.8, 10
81.9, 12

Structural model:
Cell lengths 4.6029, 4.6029, 5.9886 Å; angles 90.00, 90.00, 90.00 degrees
Element x y z (fractional)
Rb (0.0000, 0.0000, 0.0000)
Ag (0.5000, 0.5000, 0.0000)
Pd (0.0000, 0.5000, 0.5000)
Pd (0.5000, 0.0000, 0.5000)
S (0.0000, 0.0000, 0.5000)

Ba6LiNb2IrCl2O12: simulated X-ray diffraction stick pattern (a wavelength of 1.5418 Å), based on a crystal structure in Alexandria, relaxed with GGA-PBE.
Neutral-atom scattering factors, no anomalous dispersion.

Top 10 peaks for 2θ = 15–90°, by angle:
Position (°2θ), I (rel.)
18.3, 36
24.0, 21
24.9, 30
28.4, 38
29.6, 94
29.8, 100
30.6, 25
40.6, 22
42.7, 26
52.9, 20

Structural model:
Cell lengths 6.0450, 6.0450, 15.3912 Å; angles 93.63, 93.63, 59.35 degrees
Element x y z (fractional)
Ba (0.0000, 0.0000, 0.0000)
Ba (0.0204, 0.0204, 0.2703)
Ba (0.0725, 0.0725, 0.6842)
Ba (0.3196, 0.3196, 0.8726)
Ba (0.3452, 0.3452, 0.1254)
Ba (0.3951, 0.3951, 0.5410)
Li (0.4953, 0.4953, 0.7346)
Nb (0.6679, 0.6679, 0.0913)
Nb (0.7516, 0.7516, 0.7243)
Ir (0.6765, 0.6765, 0.9065)
Cl (0.0301, 0.0301, 0.4810)
Cl (0.3551, 0.3551, 0.3329)
O (0.0978, 0.5975, 0.6820)
O (0.3425, 0.8226, 0.1482)
O (0.4129, 0.8447, 0.8026)
O (0.5019, 0.9766, 0.0009)
O (0.5169, 0.5169, 0.9864)
O (0.5975, 0.0978, 0.6820)
O (0.6033, 0.6033, 0.6379)
O (0.8226, 0.3425, 0.1482)
O (0.8305, 0.8305, 0.1567)
O (0.8447, 0.4129, 0.8026)
O (0.8453, 0.8453, 0.8448)
O (0.9766, 0.5019, 0.0009)

La3Al7Pt4: simulated X-ray diffraction stick pattern (a wavelength of 1.5418 Å), based on a crystal structure in Alexandria, relaxed with GGA-PBE.
Neutral-atom scattering factors, no anomalous dispersion.

Top 10 peaks for 2θ = 15–90°, by angle:
Position (°2θ), I (rel.)
22.4, 49
26.0, 100
26.4, 65
28.8, 55
32.1, 49
33.9, 79
34.7, 97
34.9, 88
35.3, 55
41.4, 79

Structural model:
Cell lengths 8.3049, 8.3049, 9.6241 Å; angles 122.95, 122.95, 30.43 degrees
Element x y z (fractional)
La (0.0000, 0.0000, 0.0000)
La (0.3099, 0.3099, 0.3054)
La (0.6901, 0.6901, 0.6946)
Al (0.0000, 0.0000, 0.5000)
Al (0.1577, 0.1577, 0.4279)
Al (0.3200, 0.3200, 0.9739)
Al (0.4960, 0.4960, 0.7072)
Al (0.5040, 0.5040, 0.2928)
Al (0.6800, 0.6800, 0.0261)
Al (0.8423, 0.8423, 0.5721)
Pt (0.1191, 0.1191, 0.8475)
Pt (0.3417, 0.3417, 0.7168)
Pt (0.6583, 0.6583, 0.2832)
Pt (0.8809, 0.8809, 0.1525)

Ce5Ge: simulated X-ray diffraction stick pattern (a wavelength of 1.5418 Å), based on a crystal structure in Alexandria, relaxed with GGA-PBE.
Neutral-atom scattering factors, no anomalous dispersion.

Top 10 peaks for 2θ = 15–90°, by angle:
Position (°2θ), I (rel.)
34.0, 100
37.1, 21
38.9, 15
42.2, 14
54.9, 11
57.4, 12
64.9, 15
67.4, 9
71.6, 10
71.9, 11

Structural model:
Cell lengths 4.2800, 13.8744, 4.8493 Å; angles 90.00, 90.00, 90.00 degrees
Element x y z (fractional)
Ce (0.0000, 0.0000, 0.0000)
Ce (0.0000, 0.1753, 0.5000)
Ce (0.0000, 0.3515, 0.0000)
Ce (0.0000, 0.6485, 0.0000)
Ce (0.0000, 0.8247, 0.5000)
Ce (0.5000, 0.1485, 0.0000)
Ce (0.5000, 0.3247, 0.5000)
Ce (0.5000, 0.5000, 0.0000)
Ce (0.5000, 0.6753, 0.5000)
Ce (0.5000, 0.8515, 0.0000)
Ge (0.0000, 0.5000, 0.5000)
Ge (0.5000, 0.0000, 0.5000)

Cr13W3: simulated X-ray diffraction stick pattern (a wavelength of 1.5418 Å), based on a crystal structure in Alexandria, relaxed with GGA-PBE.
Neutral-atom scattering factors, no anomalous dispersion.

Top 10 peaks for 2θ = 15–90°, by angle:
Position (°2θ), I (rel.)
15.1, 26
21.4, 12
34.1, 18
37.4, 8
43.5, 100
43.7, 20
46.4, 7
63.3, 18
79.8, 18
80.1, 12

Structural model:
Cell lengths 5.8845, 5.8772, 5.8772 Å; angles 89.73, 90.00, 90.00 degrees
Element x y z (fractional)
Cr (0.0000, 0.0000, 0.0000)
Cr (0.0000, 0.0006, 0.4885)
Cr (0.0000, 0.4885, 0.0006)
Cr (0.0000, 0.4879, 0.4879)
Cr (0.2462, 0.2481, 0.2481)
Cr (0.2468, 0.2462, 0.7413)
Cr (0.2468, 0.7413, 0.2462)
Cr (0.5000, 0.0010, 0.4914)
Cr (0.5000, 0.4886, 0.4886)
Cr (0.5000, 0.4914, 0.0010)
Cr (0.7532, 0.2462, 0.7413)
Cr (0.7532, 0.7413, 0.2462)
Cr (0.7538, 0.2481, 0.2481)
W (0.2473, 0.7405, 0.7405)
W (0.5000, 0.0025, 0.0025)
W (0.7527, 0.7405, 0.7405)

SrMgAs3: simulated X-ray diffraction stick pattern (a wavelength of 1.5418 Å), based on a crystal structure in Alexandria, relaxed with GGA-PBE.
Neutral-atom scattering factors, no anomalous dispersion.

Top 10 peaks for 2θ = 15–90°, by angle:
Position (°2θ), I (rel.)
24.8, 4
30.6, 100
35.4, 69
43.8, 2
51.0, 48
60.6, 42
63.6, 16
75.0, 8
83.1, 17
85.7, 22

Structural model:
Cell lengths 5.0681, 5.0681, 5.0681 Å; angles 90.00, 90.00, 90.00 degrees
Element x y z (fractional)
Sr (0.0000, 0.0000, 0.0000)
Mg (0.5000, 0.5000, 0.5000)
As (0.0000, 0.5000, 0.5000)
As (0.5000, 0.0000, 0.5000)
As (0.5000, 0.5000, 0.0000)

Eu2Ga9Ir3: simulated X-ray diffraction stick pattern (a wavelength of 1.5418 Å), based on a crystal structure in Alexandria, relaxed with GGA-PBE.
Neutral-atom scattering factors, no anomalous dispersion.

Top 10 peaks for 2θ = 15–90°, by angle:
Position (°2θ), I (rel.)
29.6, 32
29.8, 65
36.2, 41
36.3, 75
36.8, 41
40.9, 100
41.2, 49
44.1, 31
45.1, 30
62.0, 35

Structural model:
Cell lengths 7.6051, 7.6051, 9.7571 Å; angles 90.00, 90.00, 60.52 degrees
Element x y z (fractional)
Eu (0.0028, 0.6695, 0.7500)
Eu (0.3305, 0.9972, 0.7500)
Eu (0.6695, 0.0028, 0.2500)
Eu (0.9972, 0.3305, 0.2500)
Ga (0.0021, 0.6649, 0.0759)
Ga (0.0021, 0.6649, 0.4241)
Ga (0.1298, 0.8702, 0.2500)
Ga (0.3339, 0.6661, 0.5590)
Ga (0.3339, 0.6661, 0.9410)
Ga (0.3351, 0.9979, 0.0759)
Ga (0.3351, 0.9979, 0.4241)
Ga (0.3369, 0.4558, 0.2500)
Ga (0.4558, 0.3369, 0.7500)
Ga (0.5442, 0.6631, 0.2500)
Ga (0.6631, 0.5442, 0.7500)
Ga (0.6649, 0.0021, 0.5759)
Ga (0.6649, 0.0021, 0.9241)
Ga (0.6661, 0.3339, 0.0590)
Ga (0.6661, 0.3339, 0.4410)
Ga (0.8702, 0.1298, 0.7500)
Ga (0.9979, 0.3351, 0.5759)
Ga (0.9979, 0.3351, 0.9241)
Ir (0.0000, 0.0000, 0.0000)
Ir (0.0000, 0.0000, 0.5000)
Ir (0.3298, 0.3298, 0.0000)
Ir (0.3298, 0.3298, 0.5000)
Ir (0.6702, 0.6702, 0.0000)
Ir (0.6702, 0.6702, 0.5000)